Starting from a cell relaxed with PBE, the powder X-ray diffraction pattern of ZnPH5CNClO3 was simulated for Cu Kα X-rays.
Peak positions follow from Bragg's law for the DFT cell and can differ from measured ones.

```
52
Lattice="4.800 0.000 0.000 0.000 16.096 0.000 -2.553 0.000 7.917" Properties=species:S:1:pos:R:3 pbc="T T T"
Zn 0.005 2.883 1.363
Zn -1.271 5.166 5.322
Zn 3.519 10.931 2.595
Zn 2.242 13.214 6.554
P -0.151 2.682 7.240
P 1.125 5.367 3.281
P 1.122 10.730 4.636
P 2.399 13.415 0.677
H -1.444 10.452 6.135
H -0.168 13.692 2.177
H -1.205 8.974 6.881
H 0.071 15.171 2.923
H -0.340 8.785 4.653
H 0.937 15.360 0.695
H 0.022 0.583 6.007
H 1.298 7.465 2.049
H -0.211 10.264 7.250
H 1.066 13.881 3.292
H 1.182 2.216 4.625
H 2.458 5.832 0.667
H 0.949 8.631 5.868
H 2.225 15.513 1.910
H 1.311 0.737 7.222
H 2.587 7.311 3.263
H 2.176 0.926 4.994
H 3.453 7.123 1.036
H 2.415 2.404 5.740
H 3.692 5.644 1.782
C 0.231 9.331 5.412
C 1.508 14.814 1.453
C 0.740 1.283 6.463
C 2.016 6.766 2.505
N -0.711 9.790 6.481
N 0.565 14.355 2.523
N 1.682 1.742 5.394
N 2.958 6.306 1.436
Cl -0.595 1.367 2.931
Cl -1.871 6.681 6.890
Cl 4.119 9.415 1.027
Cl 2.843 14.729 4.985
O -0.780 3.417 6.038
O 0.496 4.631 2.079
O 0.115 11.602 3.872
O -1.162 12.542 7.830
O 1.333 2.002 0.192
O 0.057 6.046 4.151
O 2.190 10.050 3.766
O 0.914 14.094 7.725
O 3.409 3.554 0.087
O 2.133 4.494 4.045
O 1.752 11.465 5.838
O 3.028 12.680 1.879
```

Principal peaks in the range 10° ≤ 2θ ≤ 80°, in order of rising 2θ:
- (0 2 0), 10.99°, intensity 100
- (0 3 1), 19.99°, intensity 85
- (1 1 0), 20.21°, intensity 33
- (0 4 0), 22.09°, intensity 24
- (1 2 -1), 22.19°, intensity 38
- (1 1 -2), 25.45°, intensity 55
- (1 1 1), 25.93°, intensity 30
- (1 2 1), 27.68°, intensity 78
- (1 3 -2), 29.97°, intensity 68
- (1 7 -2), 46.94°, intensity 22